Structure and computed XRD peak list of Fe3O5F (a structure optimized by DFT (PBE+U); a wavelength of 1.5418 Å).
Kinematic intensities with the Lorentz-polarization factor, no thermal factor.

Largest 10 diffraction maxima, in order of rising 2θ, 10° ≤ 2θ ≤ 80°:
d (Å), 2theta, I (rel.)
3.294, 27.1, 96
3.280, 27.2, 95
2.526, 35.5, 100
2.324, 38.7, 19
1.712, 53.5, 56
1.710, 53.6, 28
1.707, 53.7, 27
1.647, 55.8, 16
1.377, 68.1, 29
1.369, 68.6, 16

Atomic structure:
Unit cell a=4.6437 b=5.5455 c=7.6007 alpha=85.22 beta=89.82 gamma=89.81
Element x y z (fractional)
Fe  0.0000  0.0000  0.0000
Fe  0.0016  0.6537  0.3135
Fe  0.0124  0.3167  0.6632
Fe  0.5049  0.1611  0.3302
Fe  0.5217  0.4784  0.9909
Fe  0.5497  0.8317  0.6552
O  0.2037  0.9460  0.2165
O  0.2058  0.2808  0.8936
O  0.3195  0.4523  0.2271
O  0.3258  0.1236  0.5575
O  0.7047  0.1964  0.1098
O  0.7081  0.8668  0.4201
O  0.7095  0.5250  0.7590
O  0.8170  0.7007  0.0809
O  0.8227  0.0240  0.7735
O  0.8275  0.3683  0.4349
F  0.2147  0.6322  0.5631
F  0.3170  0.7837  0.8839

---

Structure and computed XRD peak list of Fe4OF7 (a structure optimized by DFT (PBE+U); a wavelength of 1.5418 Å).
Kinematic intensities with the Lorentz-polarization factor, no thermal factor.

Largest 10 diffraction maxima, in order of rising 2θ, 10° ≤ 2θ ≤ 80°:
d (Å), 2theta, I (rel.)
3.544, 25.1, 100
3.419, 26.1, 92
2.619, 34.2, 99
2.330, 38.6, 20
2.294, 39.3, 19
1.811, 50.4, 64
1.776, 51.4, 54
1.772, 51.6, 22
1.709, 53.6, 19
1.449, 64.3, 42

Atomic structure:
Unit cell a=10.3250 b=10.3250 c=4.9230 alpha=91.97 beta=91.97 gamma=34.87
Element x y z (fractional)
Fe  0.0000  0.0000  0.0000
Fe  0.1075  0.6567  0.5223
Fe  0.2565  0.2565  0.0206
Fe  0.3945  0.8692  0.5205
Fe  0.5036  0.5036  0.0031
Fe  0.6567  0.1075  0.5223
Fe  0.7486  0.7486  0.9859
Fe  0.8692  0.3945  0.5205
O  0.6790  0.6790  0.7159
O  0.9302  0.9302  0.7230
F  0.0601  0.5506  0.8107
F  0.0821  0.0821  0.3206
F  0.1810  0.1810  0.7179
F  0.2129  0.6984  0.2196
F  0.2988  0.8124  0.8124
F  0.3328  0.3328  0.3238
F  0.4307  0.4307  0.7096
F  0.4518  0.9596  0.2216
F  0.5506  0.0601  0.8107
F  0.5770  0.5770  0.2975
F  0.6984  0.2129  0.2196
F  0.8124  0.2988  0.8124
F  0.8249  0.8249  0.2851
F  0.9596  0.4518  0.2216

---

Structure and computed XRD peak list of Fe6O5F7 (a structure optimized by DFT (PBE+U); a wavelength of 1.5418 Å).
Kinematic intensities with the Lorentz-polarization factor, no thermal factor.

Largest 10 diffraction maxima, in order of rising 2θ, 10° ≤ 2θ ≤ 80°:
d (Å), 2theta, I (rel.)
3.361, 26.5, 99
3.314, 26.9, 100
2.649, 33.8, 26
2.629, 34.1, 26
2.608, 34.4, 53
1.756, 52.1, 56
1.680, 54.6, 17
1.657, 55.5, 16
1.578, 58.5, 17
1.405, 66.5, 21

Atomic structure:
Unit cell a=4.6920 b=5.6575 c=7.9641 alpha=86.33 beta=89.89 gamma=89.07
Element x y z (fractional)
Fe  0.0000  0.0000  0.0000
Fe  0.0102  0.6667  0.3256
Fe  0.0456  0.3374  0.6163
Fe  0.4925  0.1579  0.2837
Fe  0.5285  0.4969  0.9742
Fe  0.5782  0.8249  0.6627
O  0.2294  0.3690  0.4048
O  0.3212  0.1888  0.0683
O  0.7366  0.8044  0.8779
O  0.8234  0.9563  0.2207
O  0.8322  0.6238  0.5432
F  0.2198  0.6995  0.0917
F  0.2345  0.0353  0.7277
F  0.3274  0.5387  0.7336
F  0.3342  0.8682  0.4196
F  0.7240  0.1261  0.5458
F  0.7340  0.4508  0.2130
F  0.8474  0.2922  0.8565